1.
The following is a simulated PXRD pattern of Na3Rh3AuO8. It was derived from a DFT-relaxed cell (GGA-PBE, Alexandria), using CuKα.

Cell and atoms:
Unit cell a=11.273 b=6.216 c=6.417 alpha=90.00 beta=124.27 gamma=90.00
Space group C2/m (No. 12)
One atom of each set of equivalent atoms:
Na  0.000  0.000  0.000 x2
Na  0.250  0.250  0.500 x4
Rh  0.000  0.500  0.500 x2
Rh  0.250  0.250  0.000 x4
Au  0.000  0.000  0.500 x2
O  0.028  0.244  0.739 x8
O  0.222  0.500  0.169 x4
O  0.228  0.500  0.758 x4

Peak list (12 most intense, 15° ≤ 2θ ≤ 90°, sorted by position)
16.83°, intensity 100, (2 0 -1); 31.92°, intensity 17, (2 0 1); 33.42°, intensity 29, (0 2 1); 33.81°, intensity 17, (0 0 2); 34.05°, intensity 17, (4 0 -2); 34.70°, intensity 30, (2 2 0); 38.66°, intensity 25, (4 0 0); 40.40°, intensity 45, (2 2 -2); 52.94°, intensity 12, (4 2 -3); 57.00°, intensity 15, (2 2 2); 57.32°, intensity 14, (6 2 -2); 59.50°, intensity 14, (0 4 0)

---

2.
The following is a simulated PXRD pattern of NaSnAuO4. It was derived from a DFT-relaxed cell (GGA-PBE, Alexandria), using CuKα.

Cell and atoms:
Unit cell a=6.190 b=6.216 c=10.851 alpha=90.00 beta=90.00 gamma=90.00
Space group Imma (No. 74)
One atom of each set of equivalent atoms:
Na  0.000  0.250  0.107 x4
Sn  0.250  0.250  0.750 x4
Au  0.000  0.000  0.500 x4
O  0.000  0.033  0.766 x8
O  0.210  0.250  0.541 x8

Peak list (12 most intense, 15° ≤ 2θ ≤ 90°, sorted by position)
16.42°, intensity 55, (0 1 1); 16.49°, intensity 100, (1 0 1); 28.58°, intensity 55, (1 0 3); 33.02°, intensity 34, (0 0 4); 33.26°, intensity 84, (0 2 2); 33.35°, intensity 61, (2 0 2); 40.98°, intensity 27, (1 2 3); 41.16°, intensity 39, (2 2 0); 53.75°, intensity 42, (2 2 4); 53.98°, intensity 23, (3 2 1); 59.13°, intensity 20, (0 2 6); 59.51°, intensity 20, (0 4 0)

---

3.
The following is a simulated PXRD pattern of NaSr2Au2O6. It was derived from a DFT-relaxed cell (GGA-PBE, Alexandria), using CuKα.

Cell and atoms:
Unit cell a=5.9795 b=5.9795 c=18.7910 alpha=90.00 beta=90.00 gamma=120.00
Space group R-3m (No. 166, hexagonal axes)
One atom of each set of equivalent atoms:
Na  0.0000  0.0000  0.0000 x3
Sr  0.0000  0.0000  0.2041 x6
Au  0.0000  0.0000  0.4207 x6
O  0.0469  0.5235  0.7629 x18

Peak list (12 most intense, 15° ≤ 2θ ≤ 90°, sorted by position)
17.77°, intensity 66, (1 0 1); 28.50°, intensity 22, (0 0 6); 29.36°, intensity 75, (0 1 5); 29.89°, intensity 100, (1 1 0); 34.98°, intensity 14, (0 2 1); 41.77°, intensity 26, (1 1 6); 42.25°, intensity 17, (0 1 8); 42.39°, intensity 36, (2 0 5); 46.66°, intensity 18, (2 1 1); 52.73°, intensity 36, (1 2 5); 53.05°, intensity 20, (3 0 0); 62.09°, intensity 17, (2 2 0)

---

4.
The following is a simulated PXRD pattern of NaY2AuO5. It was derived from a DFT-relaxed cell (GGA-PBE, Alexandria), using CuKα.

Cell and atoms:
Unit cell a=6.559 b=6.559 c=5.902 alpha=90.00 beta=90.00 gamma=90.00
Space group P4/mbm (No. 127)
One atom of each set of equivalent atoms:
Na  0.000  0.000  0.000 x2
Y  0.177  0.323  0.500 x4
Au  0.000  0.500  0.000 x2
O  0.000  0.000  0.500 x2
O  0.137  0.637  0.261 x8

Peak list (12 most intense, 15° ≤ 2θ ≤ 90°, sorted by position)
19.14°, intensity 80, (1 1 0); 24.41°, intensity 42, (1 1 1); 30.29°, intensity 34, (0 0 2); 31.20°, intensity 100, (2 0 1); 34.13°, intensity 25, (2 1 1); 36.07°, intensity 19, (1 1 2); 38.84°, intensity 26, (2 2 0); 43.50°, intensity 24, (2 1 2); 46.40°, intensity 49, (3 1 1); 50.02°, intensity 24, (2 2 2); 54.38°, intensity 21, (2 0 3); 65.38°, intensity 16, (3 1 3)

---

5.
The following is a simulated PXRD pattern of Na2YAuO4. It was derived from a DFT-relaxed cell (GGA-PBE, Alexandria), using CuKα.

Cell and atoms:
Unit cell a=5.936 b=5.936 c=6.460 alpha=90.00 beta=90.00 gamma=90.00
Space group I-4 (No. 82)
One atom of each set of equivalent atoms:
Na  0.000  0.000  0.000 x2
Na  0.000  0.500  0.250 x2
Y  0.000  0.000  0.500 x2
Au  0.000  0.500  0.750 x2
O  0.182  0.211  0.732 x8

Peak list (12 most intense, 15° ≤ 2θ ≤ 90°, sorted by position)
20.32°, intensity 100, (1 0 1); 21.17°, intensity 11, (1 1 0); 30.11°, intensity 43, (2 0 0); 35.05°, intensity 78, (1 1 2); 36.60°, intensity 42, (2 1 1); 43.10°, intensity 28, (2 2 0); 44.77°, intensity 13, (1 0 3); 54.90°, intensity 14, (2 1 3); 56.72°, intensity 43, (3 1 2); 57.79°, intensity 14, (3 2 1); 74.07°, intensity 10, (2 2 4); 89.48°, intensity 10, (1 5 2)

---

6.
The following is a simulated PXRD pattern of Na3Y3AuO8. It was derived from a DFT-relaxed cell (GGA-PBE, Alexandria), using CuKα.

Cell and atoms:
Unit cell a=11.683 b=6.820 c=6.847 alpha=90.00 beta=125.55 gamma=90.00
Space group C2/m (No. 12)
One atom of each set of equivalent atoms:
Na  0.000  0.000  0.000 x2
Na  0.250  0.250  0.000 x4
Y  0.000  0.500  0.500 x2
Y  0.250  0.250  0.500 x4
Au  0.000  0.000  0.500 x2
O  0.009  0.244  0.287 x8
O  0.218  0.000  0.699 x4
O  0.238  0.500  0.707 x4

Peak list (12 most intense, 15° ≤ 2θ ≤ 90°, sorted by position)
15.93°, intensity 100, (0 0 1); 30.72°, intensity 9, (3 1 -2); 30.79°, intensity 25, (2 2 -1); 31.17°, intensity 12, (4 0 -1); 32.14°, intensity 14, (0 0 2); 32.31°, intensity 38, (2 2 0); 37.22°, intensity 45, (2 2 -2); 37.86°, intensity 21, (4 0 0); 48.94°, intensity 12, (2 2 -3); 54.02°, intensity 13, (2 2 2); 54.25°, intensity 14, (6 2 -2); 67.63°, intensity 10, (8 0 -4)

---

7.
The following is a simulated PXRD pattern of NaPAu. It was derived from a DFT-relaxed cell (GGA-PBE, Alexandria), using CuKα.

Cell and atoms:
Unit cell a=8.458 b=7.850 c=6.360 alpha=90.00 beta=130.89 gamma=90.00
Space group C2 (No. 5)
One atom of each set of equivalent atoms:
Na  0.242  0.000  0.488 x4
P  0.047  0.740  0.869 x4
Au  0.248  0.489  0.999 x4

Peak list (12 most intense, 15° ≤ 2θ ≤ 90°, sorted by position)
18.45°, intensity 100, (0 0 1); 21.01°, intensity 54, (2 0 -1); 22.65°, intensity 59, (0 2 0); 27.91°, intensity 38, (2 0 0); 28.30°, intensity 56, (2 0 -2); 29.37°, intensity 40, (0 2 1); 31.09°, intensity 48, (2 2 -1); 36.24°, intensity 62, (2 2 0); 36.55°, intensity 41, (2 2 -2); 37.41°, intensity 22, (0 0 2); 44.18°, intensity 29, (0 2 2); 48.93°, intensity 27, (4 2 -2)

---

8.
The following is a simulated PXRD pattern of NaPAu. It was derived from a DFT-relaxed cell (GGA-PBE, Alexandria), using CuKα.

Cell and atoms:
Unit cell a=4.475 b=6.598 c=9.203 alpha=90.00 beta=90.00 gamma=90.00
Space group Immm (No. 71)
One atom of each set of equivalent atoms:
Na  0.000  0.000  0.230 x4
P  0.000  0.330  0.000 x4
Au  0.000  0.279  0.500 x4

Peak list (12 most intense, 15° ≤ 2θ ≤ 90°, sorted by position)
19.29°, intensity 100, (0 0 2); 22.09°, intensity 89, (1 0 1); 27.03°, intensity 33, (0 2 0); 31.00°, intensity 17, (1 1 2); 33.42°, intensity 63, (0 2 2); 35.17°, intensity 63, (1 2 1); 35.48°, intensity 33, (1 0 3); 39.15°, intensity 25, (0 0 4); 40.31°, intensity 24, (2 0 0); 45.05°, intensity 23, (2 0 2); 45.16°, intensity 28, (1 2 3); 53.33°, intensity 33, (2 2 2)

---

9.
The following is a simulated PXRD pattern of NaPAuSe4. It was derived from a DFT-relaxed cell (GGA-PBE, Alexandria), using CuKα.

Cell and atoms:
Unit cell a=7.864 b=12.393 c=7.834 alpha=90.00 beta=90.00 gamma=90.00
Space group Cmcm (No. 63)
One atom of each set of equivalent atoms:
Na  0.000  0.000  0.000 x4
P  0.000  0.355  0.250 x4
Au  0.000  0.358  0.750 x4
Se  0.000  0.247  0.023 x8
Se  0.214  0.475  0.250 x8

Peak list (12 most intense, 15° ≤ 2θ ≤ 90°, sorted by position)
17.51°, intensity 29, (1 1 1); 22.65°, intensity 52, (2 0 0); 24.34°, intensity 26, (1 3 0); 26.42°, intensity 52, (1 1 2); 26.88°, intensity 100, (2 2 0); 29.21°, intensity 41, (2 2 1); 36.99°, intensity 35, (0 4 2); 40.77°, intensity 18, (3 3 0); 43.80°, intensity 78, (2 4 2); 46.36°, intensity 20, (0 0 4); 47.16°, intensity 20, (3 3 2); 49.88°, intensity 24, (0 6 2)

---

10.
The following is a simulated PXRD pattern of NaZrPAu2. It was derived from a DFT-relaxed cell (GGA-PBE, Alexandria), using CuKα.

Cell and atoms:
Unit cell a=5.140 b=5.140 c=5.927 alpha=90.00 beta=90.00 gamma=90.00
Space group P4/mmm (No. 123)
One atom of each set of equivalent atoms:
Na  0.000  0.000  0.000 x1
Zr  0.000  0.000  0.500 x1
P  0.500  0.500  0.000 x1
Au  0.000  0.500  0.500 x2

Peak list (12 most intense, 15° ≤ 2θ ≤ 90°, sorted by position)
24.49°, intensity 34, (1 1 0); 28.82°, intensity 100, (1 1 1); 30.16°, intensity 52, (0 0 2); 34.91°, intensity 74, (2 0 0); 38.17°, intensity 71, (2 0 1); 39.22°, intensity 24, (1 1 2); 46.79°, intensity 62, (2 0 2); 50.21°, intensity 28, (2 2 0); 52.71°, intensity 47, (2 2 1); 58.94°, intensity 48, (2 0 3); 59.69°, intensity 30, (2 2 2); 73.79°, intensity 25, (4 0 0)

---

11.
The following is a simulated PXRD pattern of Na3Pa3AuSe8. It was derived from a DFT-relaxed cell (GGA-PBE, Alexandria), using CuKα.

Cell and atoms:
Unit cell a=13.724 b=8.608 c=8.330 alpha=90.00 beta=122.48 gamma=90.00
Space group C2/m (No. 12)
One atom of each set of equivalent atoms:
Na  0.000  0.000  0.000 x2
Na  0.250  0.250  0.000 x4
Pa  0.000  0.500  0.500 x2
Pa  0.250  0.250  0.500 x4
Au  0.000  0.000  0.500 x2
Se  0.012  0.282  0.256 x8
Se  0.222  0.000  0.709 x4
Se  0.249  0.500  0.736 x4

Peak list (12 most intense, 15° ≤ 2θ ≤ 90°, sorted by position)
24.81°, intensity 45, (2 2 -1); 26.26°, intensity 12, (4 0 -1); 29.91°, intensity 100, (2 2 -2); 30.90°, intensity 45, (4 0 0); 32.34°, intensity 14, (2 2 1); 38.93°, intensity 16, (2 2 -3); 41.98°, intensity 18, (0 4 0); 42.16°, intensity 36, (2 2 2); 43.61°, intensity 18, (4 0 -4); 44.88°, intensity 32, (6 2 -2); 46.63°, intensity 13, (6 2 -1); 53.02°, intensity 17, (4 4 0)

---

12.
The following is a simulated PXRD pattern of Na7Pb2Au. It was derived from a DFT-relaxed cell (GGA-PBE, Alexandria), using CuKα.

Cell and atoms:
Unit cell a=14.820 b=8.831 c=11.272 alpha=90.00 beta=127.11 gamma=90.00
Space group C2/c (No. 15)
One atom of each set of equivalent atoms:
Na  0.000  0.080  0.250 x4
Na  0.075  0.320  0.077 x8
Na  0.151  0.289  0.815 x8
Na  0.215  0.387  0.558 x8
Pb  0.139  0.036  0.598 x8
Au  0.000  0.454  0.250 x4

Peak list (12 most intense, 15° ≤ 2θ ≤ 90°, sorted by position)
19.19°, intensity 100, (1 1 -2); 20.11°, intensity 41, (0 2 0); 21.51°, intensity 19, (3 1 -2); 24.07°, intensity 19, (4 0 -2); 24.74°, intensity 51, (3 1 0); 31.45°, intensity 42, (2 0 2); 31.57°, intensity 27, (4 2 -2); 33.01°, intensity 21, (2 0 -4); 34.67°, intensity 19, (1 3 -2); 37.61°, intensity 25, (2 2 2); 38.16°, intensity 14, (3 3 0); 55.39°, intensity 15, (3 5 -1)